Structure and theoretical powder X-ray diffraction pattern of MnVCuF6 (a PBE+U-relaxed structure; CuKα).
No peak broadening, texture or thermal motion is included.

Most intense lines, 5 to 70 degrees two-theta, by intensity:
27.20 deg, 3.278 Å, intensity 100; 52.21 deg, 1.752 Å, intensity 52; 38.83 deg, 2.319 Å, intensity 29; 43.62 deg, 2.075 Å, intensity 26; 33.44 deg, 2.680 Å, intensity 26; 59.77 deg, 1.547 Å, intensity 24; 56.05 deg, 1.641 Å, intensity 24; 19.16 deg, 4.631 Å, intensity 9; 63.51 deg, 1.465 Å, intensity 7; 63.38 deg, 1.468 Å, intensity 1

Crystal structure
Cell: 5.360 5.360 9.262 Å, 90.00 90.00 120.00°
Sites, in units of the cell vectors:
Mn  0.333  0.667  0.250
Mn  0.667  0.333  0.750
V  0.333  0.667  0.750
V  0.667  0.333  0.250
Cu  0.000  0.000  0.000
Cu  0.000  0.000  0.500
F  0.012  0.353  0.635
F  0.012  0.659  0.865
F  0.341  0.353  0.865
F  0.341  0.988  0.635
F  0.353  0.012  0.135
F  0.353  0.341  0.365
F  0.647  0.659  0.635
F  0.647  0.988  0.865
F  0.659  0.012  0.365
F  0.659  0.647  0.135
F  0.988  0.341  0.135
F  0.988  0.647  0.365